This entry pairs a crystal structure of Cs4LiMn3F12 with its calculated PXRD pattern. Radiation: Cu Kα. Structure: a GGA+U-relaxed structure.
Lines closer than 0.1° are merged.

```
data_Cs4LiMn3F12
_chemical_formula_sum 'Cs8 Li2 Mn6 F24'
_cell_length_a 8.7328
_cell_length_b 8.7328
_cell_length_c 8.7328
_cell_angle_alpha 90.00
_cell_angle_beta 90.00
_cell_angle_gamma 90.00
_symmetry_space_group_name_H-M 'I m -3 m'
_symmetry_Int_Tables_number 229
_symmetry_space_group_name_Hall '-I 4 2 3'
loop_
_atom_site_label
_atom_site_type_symbol
_atom_site_fract_x
_atom_site_fract_y
_atom_site_fract_z
Cs1 Cs 0.2500 0.2500 0.2500
Li1 Li 0.0000 0.0000 0.0000
Mn1 Mn 0.0000 0.0000 0.5000
F1 F 0.0000 0.0000 0.2685
F2 F 0.0000 0.2500 0.5000
```

Principal peaks in the range 15° ≤ 2θ ≤ 90°, low angle first:
2θ (°), intensity, index
20.34, 21, 2 0 0
28.92, 100, 2 2 0
35.61, 34, 2 2 2
41.36, 41, 4 0 0
51.25, 40, 4 2 2
59.92, 25, 4 4 0
67.88, 18, 6 2 0
82.69, 21, 6 4 2